Diffraction record for Ac8Cd2Ir3. The powder diffraction line list is theoretical, not measured: it uses a PBE-relaxed structure and Cu Kα, 1.54184 Å.

Largest 10 diffraction maxima, in order of falling intensity, 2θ = 10–90°:
| d/Å | two_theta | I (rel.) |
| --- | --- | --- |
| 3.447 | 25.9 | 100 |
| 8.338 | 10.6 | 73 |
| 2.185 | 41.3 | 64 |
| 2.502 | 35.9 | 53 |
| 3.129 | 28.5 | 51 |
| 2.802 | 31.9 | 50 |
| 1.326 | 71.1 | 20 |
| 2.240 | 40.3 | 19 |
| 1.826 | 49.9 | 19 |
| 1.846 | 49.4 | 17 |

Crystal structure
```
data_Ac8Cd2Ir3
_symmetry_space_group_name_H-M 'P 63 m c'
_symmetry_Int_Tables_number 186
_symmetry_space_group_name_Hall 'P 6c -2c'
_cell_length_a 8.7414
_cell_length_b 8.7414
_cell_length_c 16.6755
_cell_angle_alpha 90.00
_cell_angle_beta 90.00
_cell_angle_gamma 120.00
loop_
_atom_site_label
_atom_site_type_symbol
_atom_site_fract_x
_atom_site_fract_y
_atom_site_fract_z
_atom_site_occupancy
Ac1 Ac 0.0000 0.0000 0.0000 1
Ac2 Ac 0.0177 0.5088 0.4976 1
Ac3 Ac 0.1605 0.3210 0.7996 1
Ac4 Ac 0.3333 0.6667 0.3110 1
Cd1 Cd 0.3333 0.6667 0.1186 1
Cd2 Cd 0.3333 0.6667 0.6554 1
Ir1 Ir 0.1640 0.3279 0.4010 1
```

---

Diffraction record for Y3Hg8. The powder diffraction line list is theoretical, not measured: it uses a PBE-relaxed structure and Cu Kα, 1.54184 Å.

Largest 10 diffraction maxima, in order of falling intensity, 2θ = 10–90°:
| d/Å | two_theta | I (rel.) |
| --- | --- | --- |
| 2.498 | 35.9 | 100 |
| 2.653 | 33.8 | 92 |
| 1.470 | 63.2 | 31 |
| 1.819 | 50.2 | 31 |
| 1.442 | 64.6 | 18 |
| 1.130 | 86.0 | 14 |
| 1.249 | 76.2 | 12 |
| 2.134 | 42.4 | 10 |
| 1.566 | 59.0 | 10 |
| 4.105 | 21.6 | 9 |

Crystal structure
```
data_Y3Hg8
_symmetry_space_group_name_H-M 'R -3 m'
_symmetry_Int_Tables_number 166
_symmetry_space_group_name_Hall '-R 3 2"'
_cell_length_a 4.9965
_cell_length_b 4.9965
_cell_length_c 36.9471
_cell_angle_alpha 90.00
_cell_angle_beta 90.00
_cell_angle_gamma 120.00
loop_
_atom_site_label
_atom_site_type_symbol
_atom_site_fract_x
_atom_site_fract_y
_atom_site_fract_z
_atom_site_occupancy
Y1 Y 0.0000 0.0000 0.0000 1
Y2 Y 0.0000 0.0000 0.4510 1
Hg1 Hg 0.0000 0.0000 0.0856 1
Hg2 Hg 0.0000 0.0000 0.1674 1
Hg3 Hg 0.0000 0.0000 0.2732 1
Hg4 Hg 0.0000 0.0000 0.3633 1
```

---

Diffraction record for Sm4TcI5. The powder diffraction line list is theoretical, not measured: it uses a PBE-relaxed structure and Cu Kα, 1.54184 Å.

Largest 10 diffraction maxima, in order of falling intensity, 2θ = 10–90°:
| d/Å | two_theta | I (rel.) |
| --- | --- | --- |
| 3.124 | 28.6 | 100 |
| 3.189 | 28.0 | 38 |
| 2.235 | 40.4 | 27 |
| 2.229 | 40.5 | 27 |
| 2.374 | 37.9 | 20 |
| 2.073 | 43.7 | 15 |
| 1.738 | 52.7 | 13 |
| 2.813 | 31.8 | 11 |
| 1.901 | 47.9 | 11 |
| 1.562 | 59.2 | 11 |

Crystal structure
```
data_Sm4TcI5
_symmetry_space_group_name_H-M 'C 1 2/m 1'
_symmetry_Int_Tables_number 12
_symmetry_space_group_name_Hall '-C 2y'
_cell_length_a 19.697
_cell_length_b 4.147
_cell_length_c 9.498
_cell_angle_alpha 90.00
_cell_angle_beta 103.72
_cell_angle_gamma 90.00
loop_
_atom_site_label
_atom_site_type_symbol
_atom_site_fract_x
_atom_site_fract_y
_atom_site_fract_z
_atom_site_occupancy
Sm1 Sm 0.000 0.000 0.219 1
Sm2 Sm 0.136 0.500 0.070 1
Tc1 Tc 0.000 0.500 0.000 1
I1 I 0.000 0.500 0.500 1
I2 I 0.167 0.000 0.332 1
I3 I 0.171 0.000 0.837 1
```

---

Diffraction record for CdGeRh4. The powder diffraction line list is theoretical, not measured: it uses a PBE-relaxed structure and Cu Kα, 1.54184 Å.

Largest 10 diffraction maxima, in order of falling intensity, 2θ = 10–90°:
| d/Å | two_theta | I (rel.) |
| --- | --- | --- |
| 2.144 | 42.1 | 100 |
| 2.016 | 45.0 | 47 |
| 3.427 | 26.0 | 40 |
| 1.187 | 81.0 | 28 |
| 2.851 | 31.4 | 19 |
| 1.426 | 65.5 | 15 |
| 1.266 | 75.0 | 12 |
| 1.738 | 52.7 | 11 |
| 3.253 | 27.4 | 9 |
| 2.611 | 34.3 | 9 |

Crystal structure
```
data_CdGeRh4
_symmetry_space_group_name_H-M 'P 4/m m m'
_symmetry_Int_Tables_number 123
_symmetry_space_group_name_Hall '-P 4 2'
_cell_length_a 4.032
_cell_length_b 4.032
_cell_length_c 6.506
_cell_angle_alpha 90.00
_cell_angle_beta 90.00
_cell_angle_gamma 90.00
loop_
_atom_site_label
_atom_site_type_symbol
_atom_site_fract_x
_atom_site_fract_y
_atom_site_fract_z
_atom_site_occupancy
Cd1 Cd 0.000 0.000 0.000 1
Ge1 Ge 0.500 0.500 0.500 1
Rh1 Rh 0.000 0.500 0.284 1
```

---

Diffraction record for Th7Tc2Hg2. The powder diffraction line list is theoretical, not measured: it uses a PBE-relaxed structure and Cu Kα, 1.54184 Å.

Largest 10 diffraction maxima, in order of falling intensity, 2θ = 10–90°:
| d/Å | two_theta | I (rel.) |
| --- | --- | --- |
| 2.681 | 33.4 | 100 |
| 2.866 | 31.2 | 73 |
| 2.662 | 33.7 | 49 |
| 3.013 | 29.7 | 45 |
| 1.596 | 57.8 | 27 |
| 2.543 | 35.3 | 24 |
| 1.922 | 47.3 | 23 |
| 2.425 | 37.1 | 16 |
| 3.125 | 28.6 | 15 |
| 1.562 | 59.1 | 15 |

Crystal structure
```
data_Th7Tc2Hg2
_symmetry_space_group_name_H-M 'I m m 2'
_symmetry_Int_Tables_number 44
_symmetry_space_group_name_Hall 'I 2 -2'
_cell_length_a 3.844
_cell_length_b 16.092
_cell_length_c 10.171
_cell_angle_alpha 90.00
_cell_angle_beta 90.00
_cell_angle_gamma 90.00
loop_
_atom_site_label
_atom_site_type_symbol
_atom_site_fract_x
_atom_site_fract_y
_atom_site_fract_z
_atom_site_occupancy
Th1 Th 0.000 0.000 0.000 1
Th2 Th 0.000 0.137 0.565 1
Th3 Th 0.000 0.320 0.358 1
Th4 Th 0.000 0.347 0.724 1
Tc1 Tc 0.000 0.229 0.046 1
Hg1 Hg 0.000 0.000 0.325 1
Hg2 Hg 0.000 0.500 0.223 1
```

---

Diffraction record for Cd4FeAu. The powder diffraction line list is theoretical, not measured: it uses a PBE-relaxed structure and Cu Kα, 1.54184 Å.

Largest 10 diffraction maxima, in order of falling intensity, 2θ = 10–90°:
| d/Å | two_theta | I (rel.) |
| --- | --- | --- |
| 2.379 | 37.8 | 100 |
| 2.277 | 39.6 | 38 |
| 1.518 | 61.0 | 32 |
| 2.789 | 32.1 | 29 |
| 1.395 | 67.1 | 25 |
| 1.189 | 80.8 | 13 |
| 4.555 | 19.5 | 11 |
| 1.203 | 79.7 | 11 |
| 1.610 | 57.2 | 11 |
| 3.945 | 22.5 | 10 |

Crystal structure
```
data_Cd4FeAu
_symmetry_space_group_name_H-M 'F -4 3 m'
_symmetry_Int_Tables_number 216
_symmetry_space_group_name_Hall 'F -4 2 3'
_cell_length_a 7.889
_cell_length_b 7.889
_cell_length_c 7.889
_cell_angle_alpha 90.00
_cell_angle_beta 90.00
_cell_angle_gamma 90.00
loop_
_atom_site_label
_atom_site_type_symbol
_atom_site_fract_x
_atom_site_fract_y
_atom_site_fract_z
_atom_site_occupancy
Cd1 Cd 0.125 0.125 0.125 1
Fe1 Fe 0.250 0.250 0.750 1
Au1 Au 0.000 0.000 0.500 1
```

---

Diffraction record for AcTbSmEr2. The powder diffraction line list is theoretical, not measured: it uses a PBE-relaxed structure and Cu Kα, 1.54184 Å.

Largest 10 diffraction maxima, in order of falling intensity, 2θ = 10–90°:
| d/Å | two_theta | I (rel.) |
| --- | --- | --- |
| 3.041 | 29.4 | 100 |
| 3.014 | 29.6 | 98 |
| 2.772 | 32.3 | 97 |
| 2.283 | 39.5 | 86 |
| 2.587 | 34.7 | 40 |
| 3.591 | 24.8 | 38 |
| 2.603 | 34.5 | 35 |
| 1.795 | 50.9 | 34 |
| 2.908 | 30.8 | 34 |
| 4.417 | 20.1 | 29 |

Crystal structure
```
data_AcTbSmEr2
_symmetry_space_group_name_H-M 'C m c m'
_symmetry_Int_Tables_number 63
_symmetry_space_group_name_Hall '-C 2c 2'
_cell_length_a 6.425
_cell_length_b 17.446
_cell_length_c 6.489
_cell_angle_alpha 90.00
_cell_angle_beta 90.00
_cell_angle_gamma 90.00
loop_
_atom_site_label
_atom_site_type_symbol
_atom_site_fract_x
_atom_site_fract_y
_atom_site_fract_z
_atom_site_occupancy
Ac1 Ac 0.000 0.159 0.250 1
Tb1 Tb 0.000 0.231 0.750 1
Sm1 Sm 0.000 0.348 0.250 1
Er1 Er 0.249 0.000 0.000 1
```

---

Diffraction record for Ce3PIr2. The powder diffraction line list is theoretical, not measured: it uses a PBE-relaxed structure and Cu Kα, 1.54184 Å.

Largest 10 diffraction maxima, in order of falling intensity, 2θ = 10–90°:
| d/Å | two_theta | I (rel.) |
| --- | --- | --- |
| 2.877 | 31.1 | 100 |
| 2.046 | 44.3 | 38 |
| 2.023 | 44.8 | 36 |
| 1.655 | 55.5 | 19 |
| 1.292 | 73.2 | 17 |
| 1.281 | 74.0 | 16 |
| 1.438 | 64.8 | 12 |
| 6.718 | 13.2 | 10 |
| 1.172 | 82.3 | 8 |
| 1.680 | 54.6 | 7 |

Crystal structure
```
data_Ce3PIr2
_symmetry_space_group_name_H-M 'C 1 2/m 1'
_symmetry_Int_Tables_number 12
_symmetry_space_group_name_Hall '-C 2y'
_cell_length_a 7.011
_cell_length_b 12.132
_cell_length_c 7.111
_cell_angle_alpha 90.00
_cell_angle_beta 109.12
_cell_angle_gamma 90.00
loop_
_atom_site_label
_atom_site_type_symbol
_atom_site_fract_x
_atom_site_fract_y
_atom_site_fract_z
_atom_site_occupancy
Ce1 Ce 0.244 0.000 0.245 1
Ce2 Ce 0.249 0.165 0.753 1
P1 P 0.000 0.334 0.500 1
Ir1 Ir 0.000 0.000 0.500 1
Ir2 Ir 0.000 0.172 0.000 1
Ir3 Ir 0.000 0.500 0.000 1
```

---

Diffraction record for LiUTiN3. The powder diffraction line list is theoretical, not measured: it uses a PBE-relaxed structure and Cu Kα, 1.54184 Å.

Largest 10 diffraction maxima, in order of falling intensity, 2θ = 10–90°:
| d/Å | two_theta | I (rel.) |
| --- | --- | --- |
| 5.319 | 16.7 | 100 |
| 7.599 | 11.6 | 86 |
| 2.831 | 31.6 | 83 |
| 4.575 | 19.4 | 78 |
| 3.800 | 23.4 | 61 |
| 2.211 | 40.8 | 59 |
| 6.423 | 13.8 | 51 |
| 2.303 | 39.1 | 47 |
| 2.535 | 35.4 | 47 |
| 2.809 | 31.9 | 46 |

Crystal structure
```
data_LiUTiN3
_symmetry_space_group_name_H-M 'P 1 21/m 1'
_symmetry_Int_Tables_number 11
_symmetry_space_group_name_Hall '-P 2yb'
_cell_length_a 6.498
_cell_length_b 3.050
_cell_length_c 7.688
_cell_angle_alpha 90.00
_cell_angle_beta 98.72
_cell_angle_gamma 90.00
loop_
_atom_site_label
_atom_site_type_symbol
_atom_site_fract_x
_atom_site_fract_y
_atom_site_fract_z
_atom_site_occupancy
Li1 Li 0.146 0.250 0.082 1
U1 U 0.165 0.250 0.709 1
Ti1 Ti 0.348 0.750 0.387 1
N1 N 0.134 0.250 0.370 1
N2 N 0.176 0.750 0.912 1
N3 N 0.429 0.750 0.644 1
```

---

Diffraction record for YThCoHg. The powder diffraction line list is theoretical, not measured: it uses a PBE-relaxed structure and Cu Kα, 1.54184 Å.

Largest 10 diffraction maxima, in order of falling intensity, 2θ = 10–90°:
| d/Å | two_theta | I (rel.) |
| --- | --- | --- |
| 2.746 | 32.6 | 100 |
| 3.262 | 27.3 | 61 |
| 2.936 | 30.4 | 56 |
| 2.379 | 37.8 | 39 |
| 1.960 | 46.3 | 35 |
| 2.591 | 34.6 | 21 |
| 7.773 | 11.4 | 20 |
| 1.565 | 59.0 | 19 |
| 1.964 | 46.2 | 18 |
| 1.799 | 50.8 | 13 |

Crystal structure
```
data_YThCoHg
_symmetry_space_group_name_H-M 'C 1 m 1'
_symmetry_Int_Tables_number 8
_symmetry_space_group_name_Hall 'C -2y'
_cell_length_a 6.786
_cell_length_b 3.929
_cell_length_c 8.094
_cell_angle_alpha 90.00
_cell_angle_beta 106.19
_cell_angle_gamma 90.00
loop_
_atom_site_label
_atom_site_type_symbol
_atom_site_fract_x
_atom_site_fract_y
_atom_site_fract_z
_atom_site_occupancy
Y1 Y 0.000 0.000 0.000 1
Th1 Th 0.205 0.000 0.615 1
Co1 Co 0.098 0.500 0.793 1
Hg1 Hg 0.265 0.500 0.296 1
```

---

Diffraction record for ScGa2Ru2. The powder diffraction line list is theoretical, not measured: it uses a PBE-relaxed structure and Cu Kα, 1.54184 Å.

Largest 10 diffraction maxima, in order of falling intensity, 2θ = 10–90°:
| d/Å | two_theta | I (rel.) |
| --- | --- | --- |
| 2.203 | 41.0 | 100 |
| 2.256 | 40.0 | 39 |
| 2.317 | 38.9 | 17 |
| 5.045 | 17.6 | 17 |
| 1.215 | 78.8 | 15 |
| 1.262 | 75.3 | 14 |
| 1.505 | 61.6 | 12 |
| 1.682 | 54.6 | 10 |
| 1.523 | 60.8 | 9 |
| 1.784 | 51.2 | 8 |

Crystal structure
```
data_ScGa2Ru2
_symmetry_space_group_name_H-M 'P 4/m b m'
_symmetry_Int_Tables_number 127
_symmetry_space_group_name_Hall '-P 4 2ab'
_cell_length_a 7.135
_cell_length_b 7.135
_cell_length_c 3.046
_cell_angle_alpha 90.00
_cell_angle_beta 90.00
_cell_angle_gamma 90.00
loop_
_atom_site_label
_atom_site_type_symbol
_atom_site_fract_x
_atom_site_fract_y
_atom_site_fract_z
_atom_site_occupancy
Sc1 Sc 0.000 0.000 0.000 1
Ga1 Ga 0.129 0.371 0.000 1
Ru1 Ru 0.168 0.668 0.500 1
```

---

Diffraction record for NbVCrCuSi. The powder diffraction line list is theoretical, not measured: it uses a PBE-relaxed structure and Cu Kα, 1.54184 Å.

Largest 10 diffraction maxima, in order of falling intensity, 2θ = 10–90°:
| d/Å | two_theta | I (rel.) |
| --- | --- | --- |
| 2.263 | 39.8 | 100 |
| 1.936 | 46.9 | 27 |
| 1.940 | 46.8 | 25 |
| 2.432 | 37.0 | 24 |
| 2.687 | 33.4 | 22 |
| 1.237 | 77.1 | 22 |
| 1.834 | 49.7 | 14 |
| 1.607 | 57.4 | 13 |
| 2.792 | 32.1 | 12 |
| 1.173 | 82.2 | 11 |

Crystal structure
```
data_NbVCrCuSi
_symmetry_space_group_name_H-M 'I m m 2'
_symmetry_Int_Tables_number 44
_symmetry_space_group_name_Hall 'I 2 -2'
_cell_length_a 3.213
_cell_length_b 3.881
_cell_length_c 11.169
_cell_angle_alpha 90.00
_cell_angle_beta 90.00
_cell_angle_gamma 90.00
loop_
_atom_site_label
_atom_site_type_symbol
_atom_site_fract_x
_atom_site_fract_y
_atom_site_fract_z
_atom_site_occupancy
Nb1 Nb 0.000 0.000 0.000 1
V1 V 0.000 0.500 0.733 1
Cr1 Cr 0.000 0.500 0.248 1
Cu1 Cu 0.000 0.000 0.396 1
Si1 Si 0.000 0.000 0.592 1
```